This entry pairs a crystal structure of Ti5Zn2Ir with its theoretical powder X-ray diffraction pattern. Radiation: Cu Kα X-rays. Structure: a DFT-relaxed cell (PBE, Alexandria).
Peak positions follow from Bragg's law for the DFT cell and can differ from measured ones.

Structural model:
```
data_Ti5Zn2Ir
_cell_length_a 4.5233
_cell_length_b 4.5233
_cell_length_c 12.2281
_cell_angle_alpha 90.00
_cell_angle_beta 90.00
_cell_angle_gamma 90.00
_symmetry_space_group_name_H-M 'I 4/m m m'
_symmetry_Int_Tables_number 139
_symmetry_space_group_name_Hall '-I 4 2'
loop_
_atom_site_label
_atom_site_type_symbol
_atom_site_fract_x
_atom_site_fract_y
_atom_site_fract_z
_atom_site_occupancy
Ti1 Ti 0.0000 0.0000 0.0000 1
Ti2 Ti 0.0000 0.5000 0.1210 1
Zn1 Zn 0.0000 0.0000 0.2474 1
Ir1 Ir 0.0000 0.0000 0.5000 1
```

Principal peaks in the range 10 to 90 degrees two-theta, by intensity:
2theta, I_rel, hkl
40.83, 100.0, 1 1 4
39.86, 53.9, 2 0 0
73.03, 32.9, 3 1 4
20.94, 32.4, 1 0 1
57.64, 17.3, 2 2 0
29.50, 16.3, 1 0 3
27.89, 15.2, 1 1 0
75.00, 15.0, 2 0 8
14.49, 11.0, 0 0 2
88.48, 9.9, 2 2 8